# Sm4B2Cl5
Theoretical powder X-ray diffraction pattern, Cu Kα. Input: a PBE-relaxed structure.
No peak broadening, texture or thermal motion is included.

The 8 most intense peaks (2θ from 10° to 90°), in order of rising 2θ:
hkl 0 0 1, 11.29 deg, I 1000; hkl 2 0 1, 14.81 deg, I 296; hkl 6 0 0, 25.87 deg, I 717; hkl 3 1 0, 26.37 deg, I 411; hkl 3 1 -1, 28.28 deg, I 368; hkl 6 0 1, 29.27 deg, I 273; hkl 1 1 -2, 32.49 deg, I 855; hkl 5 1 2, 40.51 deg, I 359

Cell and atoms:
Lattice parameters (Å, degrees): 20.751 3.879 7.869 90.00 95.35 90.00
Space group C2/m (No. 12)
Symmetry-distinct sites (fractional):
Sm  0.007  0.000  0.215 x4
Sm  0.155  0.500  0.065 x4
B  0.038  0.500  0.005 x4
Cl  0.000  0.500  0.500 x2
Cl  0.148  0.000  0.314 x4
Cl  0.194  0.000  0.842 x4